Na4Si3Sn2O12: computed powder diffractogram (Cu Kα X-rays), based on the GGA-PBE geometry in the Materials Project.
Peak positions follow from Bragg's law for the DFT cell and can differ from measured ones.

Crystal structure
Lattice parameters (Å, degrees): 9.101 9.101 9.101 60.45 60.45 60.45
Atoms (fractional coordinates):
Na 0.000 0.000 0.000
Na 0.117 0.750 0.383
Na 0.250 0.617 0.883
Na 0.383 0.117 0.750
Na 0.500 0.500 0.500
Na 0.617 0.883 0.250
Na 0.750 0.383 0.117
Na 0.883 0.250 0.617
Si 0.044 0.456 0.750
Si 0.250 0.956 0.544
Si 0.456 0.750 0.044
Si 0.544 0.250 0.956
Si 0.750 0.044 0.456
Si 0.956 0.544 0.250
Sn 0.147 0.147 0.147
Sn 0.353 0.353 0.353
Sn 0.647 0.647 0.647
Sn 0.853 0.853 0.853
O 0.020 0.630 0.781
O 0.064 0.270 0.922
O 0.078 0.936 0.730
O 0.130 0.520 0.281
O 0.219 0.980 0.370
O 0.230 0.436 0.578
O 0.270 0.922 0.064
O 0.281 0.130 0.520
O 0.370 0.219 0.980
O 0.422 0.770 0.564
O 0.436 0.578 0.230
O 0.480 0.719 0.870
O 0.520 0.281 0.130
O 0.564 0.422 0.770
O 0.578 0.230 0.436
O 0.630 0.781 0.020
O 0.719 0.870 0.480
O 0.730 0.078 0.936
O 0.770 0.564 0.422
O 0.781 0.020 0.630
O 0.870 0.480 0.719
O 0.922 0.064 0.270
O 0.936 0.730 0.078
O 0.980 0.370 0.219

Top 12 peaks for 5 to 70 degrees two-theta, low angle first:
19.38 deg, rel. 87
19.51 deg, rel. 94
27.63 deg, rel. 45
31.06 deg, rel. 100
33.91 deg, rel. 91
44.27 deg, rel. 21
44.46 deg, rel. 19
46.63 deg, rel. 38
51.17 deg, rel. 23
52.89 deg, rel. 35
58.88 deg, rel. 31
60.66 deg, rel. 15